1.
InTe2Au: calculated X-ray powder pattern (a wavelength of 1.5418 Å), based on a structure optimized by DFT (GGA-PBE).
No peak broadening, texture or thermal motion is included.

Cell lengths 4.693, 7.460, 7.653 Å; angles 79.42, 89.58, 89.74 degrees
Positions (direct):
In 0.000 0.000 0.000
In 0.345 0.550 0.136
Te 0.023 0.776 0.344
Te 0.502 0.850 0.845
Te 0.693 0.318 0.387
Te 0.981 0.387 0.901
Au 0.357 0.364 0.650
Au 0.421 0.015 0.371

The 10 most intense peaks (2θ = 10–90°), by angle:
2θ 18.4, 4.827 Å, rel. 43, (0 1 -1); 2θ 24.3, 3.666 Å, rel. 100, (0 2 0); 2θ 24.5, 3.634 Å, rel. 60, (-1 1 1); 2θ 26.5, 3.368 Å, rel. 73, (1 -1 1); 2θ 31.0, 2.882 Å, rel. 51, (1 1 2); 2θ 31.3, 2.859 Å, rel. 57, (-1 1 2); 2θ 31.4, 2.847 Å, rel. 62, (1 2 1); 2θ 31.6, 2.830 Å, rel. 62, (-1 2 1); 2θ 34.4, 2.605 Å, rel. 47, (1 -1 2); 2θ 45.4, 1.998 Å, rel. 52, (1 -3 1)

=====

2.
InTe2Au: calculated X-ray powder pattern (a wavelength of 1.5418 Å), based on a structure optimized by DFT (GGA-PBE).
No peak broadening, texture or thermal motion is included.

Cell lengths 12.164, 6.384, 6.452 Å; angles 90.00, 90.00, 90.00 degrees
Positions (direct):
In 0.000 0.000 0.000
In 0.000 0.500 0.500
In 0.500 0.000 0.500
In 0.500 0.500 0.000
Te 0.149 0.210 0.267
Te 0.149 0.710 0.767
Te 0.351 0.210 0.767
Te 0.351 0.710 0.267
Te 0.649 0.290 0.267
Te 0.649 0.790 0.767
Te 0.851 0.290 0.767
Te 0.851 0.790 0.267
Au 0.000 0.000 0.569
Au 0.000 0.500 0.069
Au 0.500 0.000 0.069
Au 0.500 0.500 0.569

The 10 most intense peaks (2θ = 10–90°), by angle:
2θ 14.6, 6.082 Å, rel. 89, (2 0 0); 2θ 24.5, 3.637 Å, rel. 100, (2 1 1); 2θ 29.5, 3.024 Å, rel. 27, (3 1 1); 2θ 31.4, 2.850 Å, rel. 64, (2 0 2); 2θ 31.7, 2.826 Å, rel. 70, (2 2 0); 2θ 39.7, 2.269 Å, rel. 65, (0 2 2); 2θ 40.8, 2.213 Å, rel. 58, (4 0 2); 2θ 41.0, 2.202 Å, rel. 59, (4 2 0); 2θ 44.7, 2.027 Å, rel. 24, (6 0 0); 2θ 61.3, 1.512 Å, rel. 30, (6 2 2)